Entry 1:
The following is a simulated powder diffraction line list of CaCoAg2F8. It was derived from a PBE+U-relaxed structure, using CuKα.
Lines closer than 0.1° are merged.

Structural model:
```
data_CaCoAg2F8
_cell_length_a 6.878
_cell_length_b 6.878
_cell_length_c 7.649
_cell_angle_alpha 90.00
_cell_angle_beta 90.00
_cell_angle_gamma 90.00
_symmetry_space_group_name_H-M 'I -4 m 2'
_symmetry_Int_Tables_number 119
_symmetry_space_group_name_Hall 'I -4 -2'
loop_
_atom_site_label
_atom_site_type_symbol
_atom_site_fract_x
_atom_site_fract_y
_atom_site_fract_z
_atom_site_occupancy
Ca1 Ca 0.000 0.000 0.000 1
Co1 Co 0.000 0.500 0.250 1
Ag1 Ag 0.000 0.000 0.500 1
Ag2 Ag 0.000 0.500 0.750 1
F1 F 0.000 0.214 0.285 1
F2 F 0.000 0.325 0.987 1
```

Principal peaks in the range 10° ≤ 2θ ≤ 90°, sorted by position:
2theta  d [Å]  Rel. int.  h k l
17.34  5.114  154  1 0 1
25.91  3.439  1000  2 0 0
29.72  3.006  873  1 1 2
31.35  2.854  396  2 1 1
46.25  1.963  146  2 1 3
47.55  1.912  147  0 0 4
48.13  1.891  744  3 1 2
53.28  1.719  174  4 0 0
54.94  1.671  224  2 0 4
62.20  1.493  250  3 3 2


Entry 2:
The following is a simulated powder diffraction line list of CaCr2AgO8. It was derived from a PBE+U-relaxed structure, using CuKα.
Lines closer than 0.1° are merged.

Structural model:
```
data_CaCr2AgO8
_cell_length_a 7.270
_cell_length_b 7.270
_cell_length_c 6.443
_cell_angle_alpha 90.00
_cell_angle_beta 90.00
_cell_angle_gamma 90.00
_symmetry_space_group_name_H-M 'I -4 m 2'
_symmetry_Int_Tables_number 119
_symmetry_space_group_name_Hall 'I -4 -2'
loop_
_atom_site_label
_atom_site_type_symbol
_atom_site_fract_x
_atom_site_fract_y
_atom_site_fract_z
_atom_site_occupancy
Ca1 Ca 0.000 0.000 0.000 1
Cr1 Cr 0.000 0.000 0.500 1
Cr2 Cr 0.000 0.500 0.750 1
Ag1 Ag 0.000 0.500 0.250 1
O1 O 0.000 0.181 0.339 1
O2 O 0.000 0.316 0.903 1
```

Principal peaks in the range 10° ≤ 2θ ≤ 90°, sorted by position:
2theta  d [Å]  Rel. int.  h k l
17.25  5.140  120  1 1 0
18.40  4.822  118  1 0 1
24.49  3.635  1000  2 0 0
32.81  2.730  650  1 1 2
34.91  2.570  143  2 2 0
37.30  2.411  119  2 0 2
48.66  1.871  520  3 1 2
50.20  1.817  154  4 0 0
61.27  1.513  149  3 3 2
68.78  1.365  108  2 2 4


What did the second record say?
The following is a simulated powder diffraction line list of CaCr2AgO8. It was derived from a PBE+U-relaxed structure, using CuKα.
Lines closer than 0.1° are merged.

Structural model:
```
data_CaCr2AgO8
_cell_length_a 7.270
_cell_length_b 7.270
_cell_length_c 6.443
_cell_angle_alpha 90.00
_cell_angle_beta 90.00
_cell_angle_gamma 90.00
_symmetry_space_group_name_H-M 'I -4 m 2'
_symmetry_Int_Tables_number 119
_symmetry_space_group_name_Hall 'I -4 -2'
loop_
_atom_site_label
_atom_site_type_symbol
_atom_site_fract_x
_atom_site_fract_y
_atom_site_fract_z
_atom_site_occupancy
Ca1 Ca 0.000 0.000 0.000 1
Cr1 Cr 0.000 0.000 0.500 1
Cr2 Cr 0.000 0.500 0.750 1
Ag1 Ag 0.000 0.500 0.250 1
O1 O 0.000 0.181 0.339 1
O2 O 0.000 0.316 0.903 1
```

Principal peaks in the range 10° ≤ 2θ ≤ 90°, sorted by position:
2theta  d [Å]  Rel. int.  h k l
17.25  5.140  120  1 1 0
18.40  4.822  118  1 0 1
24.49  3.635  1000  2 0 0
32.81  2.730  650  1 1 2
34.91  2.570  143  2 2 0
37.30  2.411  119  2 0 2
48.66  1.871  520  3 1 2
50.20  1.817  154  4 0 0
61.27  1.513  149  3 3 2
68.78  1.365  108  2 2 4


What did the second record say?
The following is a simulated powder diffraction line list of CaCr2AgO8. It was derived from a PBE+U-relaxed structure, using CuKα.
Lines closer than 0.1° are merged.

Structural model:
```
data_CaCr2AgO8
_cell_length_a 7.270
_cell_length_b 7.270
_cell_length_c 6.443
_cell_angle_alpha 90.00
_cell_angle_beta 90.00
_cell_angle_gamma 90.00
_symmetry_space_group_name_H-M 'I -4 m 2'
_symmetry_Int_Tables_number 119
_symmetry_space_group_name_Hall 'I -4 -2'
loop_
_atom_site_label
_atom_site_type_symbol
_atom_site_fract_x
_atom_site_fract_y
_atom_site_fract_z
_atom_site_occupancy
Ca1 Ca 0.000 0.000 0.000 1
Cr1 Cr 0.000 0.000 0.500 1
Cr2 Cr 0.000 0.500 0.750 1
Ag1 Ag 0.000 0.500 0.250 1
O1 O 0.000 0.181 0.339 1
O2 O 0.000 0.316 0.903 1
```

Principal peaks in the range 10° ≤ 2θ ≤ 90°, sorted by position:
2theta  d [Å]  Rel. int.  h k l
17.25  5.140  120  1 1 0
18.40  4.822  118  1 0 1
24.49  3.635  1000  2 0 0
32.81  2.730  650  1 1 2
34.91  2.570  143  2 2 0
37.30  2.411  119  2 0 2
48.66  1.871  520  3 1 2
50.20  1.817  154  4 0 0
61.27  1.513  149  3 3 2
68.78  1.365  108  2 2 4


Copy entry 2 word for word.
The following is a simulated powder diffraction line list of CaCr2AgO8. It was derived from a PBE+U-relaxed structure, using CuKα.
Lines closer than 0.1° are merged.

Structural model:
```
data_CaCr2AgO8
_cell_length_a 7.270
_cell_length_b 7.270
_cell_length_c 6.443
_cell_angle_alpha 90.00
_cell_angle_beta 90.00
_cell_angle_gamma 90.00
_symmetry_space_group_name_H-M 'I -4 m 2'
_symmetry_Int_Tables_number 119
_symmetry_space_group_name_Hall 'I -4 -2'
loop_
_atom_site_label
_atom_site_type_symbol
_atom_site_fract_x
_atom_site_fract_y
_atom_site_fract_z
_atom_site_occupancy
Ca1 Ca 0.000 0.000 0.000 1
Cr1 Cr 0.000 0.000 0.500 1
Cr2 Cr 0.000 0.500 0.750 1
Ag1 Ag 0.000 0.500 0.250 1
O1 O 0.000 0.181 0.339 1
O2 O 0.000 0.316 0.903 1
```

Principal peaks in the range 10° ≤ 2θ ≤ 90°, sorted by position:
2theta  d [Å]  Rel. int.  h k l
17.25  5.140  120  1 1 0
18.40  4.822  118  1 0 1
24.49  3.635  1000  2 0 0
32.81  2.730  650  1 1 2
34.91  2.570  143  2 2 0
37.30  2.411  119  2 0 2
48.66  1.871  520  3 1 2
50.20  1.817  154  4 0 0
61.27  1.513  149  3 3 2
68.78  1.365  108  2 2 4